1.
Theoretical X-ray diffraction stick pattern of Li4Ti3Co2Sn3O16 for Cu Kα X-rays, from a cell relaxed with GGA+U.
Intensities are scaled so that the largest is 100.

Most intense lines, 10 to 90 degrees two-theta, by intensity:
| (hkl) | 2theta | I (rel.) |
| --- | --- | --- |
| 0 0 2 | 17.98 | 100 |
| 0 1 -1 | 18.91 | 65 |
| 1 1 3 | 31.98 | 41 |
| 1 1 2 | 24.59 | 39 |
| 1 1 -1 | 19.02 | 38 |
| 2 2 3 | 43.79 | 37 |
| 2 2 -1 | 35.07 | 32 |
| 2 0 -1 | 34.93 | 31 |
| -1 1 2 | 34.29 | 29 |
| 0 2 -1 | 34.75 | 29 |
| 2 0 5 | 58.21 | 27 |
| 1 2 -2 | 34.43 | 21 |

Structural model:
```
data_Li4Ti3Co2Sn3O16
_chemical_formula_sum 'Li4 Ti3 Co2 Sn3 O16'
_space_group_name_H-M_alt 'P 1'
_space_group_IT_number 1
_cell_length_a 6.1173
_cell_length_b 6.1491
_cell_length_c 9.8666
_cell_angle_alpha 89.88
_cell_angle_beta 89.87
_cell_angle_gamma 60.44
loop_
_space_group_symop_operation_xyz
'x,y,z'
loop_
_atom_site_label
_atom_site_type_symbol
_atom_site_fract_x
_atom_site_fract_y
_atom_site_fract_z
_atom_site_occupancy
Li1 Li 0.0000 0.0000 0.0000 1
Li2 Li 0.0019 0.0246 0.5072 1
Li3 Li 0.3050 0.3186 0.6088 1
Li4 Li 0.6454 0.6650 0.1058 1
Ti1 Ti 0.1521 0.1740 0.2744 1
Ti2 Ti 0.3390 0.7760 0.7687 1
Ti3 Ti 0.8559 0.3228 0.7962 1
Co1 Co 0.3217 0.3426 0.0025 1
Co2 Co 0.6498 0.6659 0.5009 1
Sn1 Sn 0.1553 0.6641 0.2919 1
Sn2 Sn 0.6460 0.1703 0.2898 1
Sn3 Sn 0.7980 0.8429 0.7861 1
O1 O 0.0142 0.4777 0.1708 1
O2 O 0.1269 0.1930 0.9032 1
O3 O 0.1419 0.6896 0.8961 1
O4 O 0.3050 0.8545 0.3966 1
O5 O 0.3088 0.3260 0.4022 1
O6 O 0.4571 0.0334 0.1684 1
O7 O 0.4658 0.4828 0.1643 1
O8 O 0.4817 0.9597 0.6681 1
O9 O 0.4845 0.5076 0.6647 1
O10 O 0.6328 0.6561 0.8932 1
O11 O 0.6722 0.1678 0.8990 1
O12 O 0.8296 0.8483 0.4077 1
O13 O 0.8361 0.3216 0.3957 1
O14 O 0.9376 0.5120 0.6688 1
O15 O 0.9891 0.0043 0.1829 1
O16 O 0.9933 0.0055 0.6902 1
```

2.
Theoretical X-ray diffraction stick pattern of Rb8ZrMo6O24 for Cu Kα X-rays, from a cell relaxed with GGA+U.
Intensities are scaled so that the largest is 100.

Most intense lines, 10 to 90 degrees two-theta, by intensity:
| (hkl) | 2theta | I (rel.) |
| --- | --- | --- |
| 1 3 -2 | 26.15 | 100 |
| 0 6 0 | 27.78 | 47 |
| 2 2 1 | 26.22 | 47 |
| 3 1 -1 | 26.83 | 46 |
| 2 4 1 | 30.83 | 33 |
| 2 0 -4 | 45.13 | 19 |
| 2 6 -4 | 53.82 | 17 |
| 5 3 0 | 49.03 | 17 |
| 3 5 -1 | 35.36 | 14 |
| 1 9 -2 | 48.15 | 14 |
| 3 7 -1 | 42.38 | 14 |
| 1 1 3 | 39.29 | 14 |

Structural model:
```
data_Rb8ZrMo6O24
_chemical_formula_sum 'Rb16 Zr2 Mo12 O48'
_space_group_name_H-M_alt 'C 1 2/m 1'
_space_group_IT_number 12
_cell_length_a 10.1928
_cell_length_b 19.2693
_cell_length_c 8.0757
_cell_angle_alpha 90.00
_cell_angle_beta 107.81
_cell_angle_gamma 90.00
loop_
_space_group_symop_operation_xyz
'x,y,z'
'-x,-y,-z'
'-x,y,-z'
'x,-y,z'
'x+1/2,y+1/2,z'
'-x+1/2,-y+1/2,-z'
'-x+1/2,y+1/2,-z'
'x+1/2,-y+1/2,z'
loop_
_atom_site_label
_atom_site_type_symbol
_atom_site_fract_x
_atom_site_fract_y
_atom_site_fract_z
_atom_site_occupancy
Rb1 Rb 0.0000 0.1635 0.0000 1
Rb2 Rb 0.1904 0.1730 0.6057 1
Rb3 Rb 0.2080 0.5000 0.1501 1
Zr1 Zr 0.0000 0.5000 0.5000 1
Mo1 Mo 0.1008 0.3427 0.7917 1
Mo2 Mo 0.1114 0.0000 0.2938 1
O1 O 0.0087 0.2691 0.2720 1
O2 O 0.0100 0.0744 0.3048 1
O3 O 0.0113 0.4247 0.6946 1
O4 O 0.1499 0.0000 0.0948 1
O5 O 0.1686 0.3495 0.0229 1
O6 O 0.2174 0.5000 0.5301 1
O7 O 0.2401 0.3280 0.7090 1
```

3.
Theoretical X-ray diffraction stick pattern of Ba2VBiO6 for Cu Kα X-rays, from a cell relaxed with GGA+U.
Intensities are scaled so that the largest is 100.

Most intense lines, 10 to 90 degrees two-theta, by intensity:
| (hkl) | 2theta | I (rel.) |
| --- | --- | --- |
| 2 2 0 | 29.80 | 100 |
| 4 2 2 | 52.89 | 41 |
| 4 0 0 | 42.64 | 29 |
| 6 2 4 | 85.73 | 23 |
| 6 2 0 | 70.19 | 19 |
| 4 4 0 | 61.89 | 18 |
| 1 1 1 | 18.12 | 17 |
| 3 1 1 | 35.09 | 14 |
| 3 3 1 | 46.69 | 8 |
| 4 4 4 | 78.07 | 6 |
| 3 3 3 | 56.37 | 4 |
| 5 1 3 | 65.07 | 4 |

Structural model:
```
data_Ba2VBiO6
_chemical_formula_sum 'Ba8 V4 Bi4 O24'
_space_group_name_H-M_alt 'P n -3'
_space_group_IT_number 201
_cell_length_a 8.4806
_cell_length_b 8.4806
_cell_length_c 8.4806
_cell_angle_alpha 90.00
_cell_angle_beta 90.00
_cell_angle_gamma 90.00
loop_
_space_group_symop_operation_xyz
'x,y,z'
'-x,-y,-z'
'-x+1/2,-y+1/2,z'
'x+1/2,y+1/2,-z'
'x,-y+1/2,-z+1/2'
'-x,y+1/2,z+1/2'
'-x+1/2,y,-z+1/2'
'x+1/2,-y,z+1/2'
'z,x,y'
'-z,-x,-y'
'z,-x+1/2,-y+1/2'
'-z,x+1/2,y+1/2'
'-z+1/2,x,-y+1/2'
'z+1/2,-x,y+1/2'
'-z+1/2,-x+1/2,y'
'z+1/2,x+1/2,-y'
'y,z,x'
'-y,-z,-x'
'-y+1/2,z,-x+1/2'
'y+1/2,-z,x+1/2'
'-y+1/2,-z+1/2,x'
'y+1/2,z+1/2,-x'
'y,-z+1/2,-x+1/2'
'-y,z+1/2,x+1/2'
loop_
_atom_site_label
_atom_site_type_symbol
_atom_site_fract_x
_atom_site_fract_y
_atom_site_fract_z
_atom_site_occupancy
Ba1 Ba 0.2500 0.2500 0.2500 1
Ba2 Ba 0.2500 0.2500 0.7500 1
V1 V 0.0000 0.0000 0.0000 1
Bi1 Bi 0.0000 0.0000 0.5000 1
O1 O 0.0167 0.5182 0.7255 1
```

What did the first record say?
Theoretical X-ray diffraction stick pattern of Li4Ti3Co2Sn3O16 for Cu Kα X-rays, from a cell relaxed with GGA+U.
Intensities are scaled so that the largest is 100.

Most intense lines, 10 to 90 degrees two-theta, by intensity:
| (hkl) | 2theta | I (rel.) |
| --- | --- | --- |
| 0 0 2 | 17.98 | 100 |
| 0 1 -1 | 18.91 | 65 |
| 1 1 3 | 31.98 | 41 |
| 1 1 2 | 24.59 | 39 |
| 1 1 -1 | 19.02 | 38 |
| 2 2 3 | 43.79 | 37 |
| 2 2 -1 | 35.07 | 32 |
| 2 0 -1 | 34.93 | 31 |
| -1 1 2 | 34.29 | 29 |
| 0 2 -1 | 34.75 | 29 |
| 2 0 5 | 58.21 | 27 |
| 1 2 -2 | 34.43 | 21 |

Structural model:
```
data_Li4Ti3Co2Sn3O16
_chemical_formula_sum 'Li4 Ti3 Co2 Sn3 O16'
_space_group_name_H-M_alt 'P 1'
_space_group_IT_number 1
_cell_length_a 6.1173
_cell_length_b 6.1491
_cell_length_c 9.8666
_cell_angle_alpha 89.88
_cell_angle_beta 89.87
_cell_angle_gamma 60.44
loop_
_space_group_symop_operation_xyz
'x,y,z'
loop_
_atom_site_label
_atom_site_type_symbol
_atom_site_fract_x
_atom_site_fract_y
_atom_site_fract_z
_atom_site_occupancy
Li1 Li 0.0000 0.0000 0.0000 1
Li2 Li 0.0019 0.0246 0.5072 1
Li3 Li 0.3050 0.3186 0.6088 1
Li4 Li 0.6454 0.6650 0.1058 1
Ti1 Ti 0.1521 0.1740 0.2744 1
Ti2 Ti 0.3390 0.7760 0.7687 1
Ti3 Ti 0.8559 0.3228 0.7962 1
Co1 Co 0.3217 0.3426 0.0025 1
Co2 Co 0.6498 0.6659 0.5009 1
Sn1 Sn 0.1553 0.6641 0.2919 1
Sn2 Sn 0.6460 0.1703 0.2898 1
Sn3 Sn 0.7980 0.8429 0.7861 1
O1 O 0.0142 0.4777 0.1708 1
O2 O 0.1269 0.1930 0.9032 1
O3 O 0.1419 0.6896 0.8961 1
O4 O 0.3050 0.8545 0.3966 1
O5 O 0.3088 0.3260 0.4022 1
O6 O 0.4571 0.0334 0.1684 1
O7 O 0.4658 0.4828 0.1643 1
O8 O 0.4817 0.9597 0.6681 1
O9 O 0.4845 0.5076 0.6647 1
O10 O 0.6328 0.6561 0.8932 1
O11 O 0.6722 0.1678 0.8990 1
O12 O 0.8296 0.8483 0.4077 1
O13 O 0.8361 0.3216 0.3957 1
O14 O 0.9376 0.5120 0.6688 1
O15 O 0.9891 0.0043 0.1829 1
O16 O 0.9933 0.0055 0.6902 1
```

Number 1 is which compound?
Li4Ti3Co2Sn3O16